# NaCu2AsH
Computed powder diffraction line list, Cu Kα (weighted mean of Kα1 and Kα2). Input: a crystal structure in Alexandria, relaxed with PBE.
Intensities are scaled so that the largest is 100.

Peak list (6 most intense, 10 to 90 degrees two-theta, by angle)
d (Å)  I/Imax
5.272  100.0
2.640  40.8
2.515  45.2
2.460  77.1
2.084  89.3
1.938  72.5

Structure:
Lattice parameters (Å, degrees): 5.6382 5.6382 6.7983 90.00 90.00 138.46
Fractional coordinates of all 10 atoms:
Na 0.0534 0.9466 0.7500
Na 0.9466 0.0534 0.2500
Cu 0.3429 0.6571 0.5602
Cu 0.3429 0.6571 0.9398
Cu 0.6571 0.3429 0.0602
Cu 0.6571 0.3429 0.4398
As 0.2256 0.7744 0.2500
As 0.7744 0.2256 0.7500
H 0.5000 0.5000 0.0000
H 0.5000 0.5000 0.5000

# NdCuAsH
Computed powder diffraction line list, Cu Kα (weighted mean of Kα1 and Kα2). Input: a crystal structure in Alexandria, relaxed with PBE.
Intensities are scaled so that the largest is 100.

Peak list (6 most intense, 10 to 90 degrees two-theta, by angle)
d (Å)  I/Imax
2.747  100.0
2.124  13.0
2.079  40.4
1.658  21.8
1.486  24.2
1.296  18.9

Structure:
Lattice parameters (Å, degrees): 4.1584 4.1584 4.2484 90.00 90.00 120.00
Fractional coordinates of all 4 atoms:
Nd 0.0000 0.0000 0.0000
Cu 0.6667 0.3333 0.5416
As 0.3333 0.6667 0.4706
H 0.6667 0.3333 0.9502

# CuAsHSe2
Computed powder diffraction line list, Cu Kα (weighted mean of Kα1 and Kα2). Input: a crystal structure in Alexandria, relaxed with PBE.
Intensities are scaled so that the largest is 100.

Peak list (6 most intense, 10 to 90 degrees two-theta, by angle)
d (Å)  I/Imax
3.125  51.2
2.432  100.0
2.033  14.8
1.704  16.7
1.635  28.7
1.518  11.2

Structure:
Lattice parameters (Å, degrees): 3.4724 4.0650 6.2493 90.00 90.00 90.00
Fractional coordinates of all 5 atoms:
Cu 0.0000 0.0000 0.0000
As 0.5000 0.5000 0.0000
H 0.5000 0.0000 0.0000
Se 0.0000 0.5000 0.5000
Se 0.5000 0.0000 0.5000

# Cu2HgAs
Computed powder diffraction line list, Cu Kα (weighted mean of Kα1 and Kα2). Input: a crystal structure in Alexandria, relaxed with PBE.
Intensities are scaled so that the largest is 100.

Peak list (6 most intense, 10 to 90 degrees two-theta, by angle)
d (Å)  I/Imax
3.747  37.7
2.921  23.8
2.698  43.5
2.458  100.0
2.003  53.6
1.981  29.6

Structure:
Lattice parameters (Å, degrees): 8.1894 3.0241 6.0370 90.00 104.59 90.00
Fractional coordinates of all 8 atoms:
Cu 0.0000 0.0000 0.0000
Cu 0.2475 0.5000 0.1921
Cu 0.5000 0.5000 0.0000
Cu 0.7475 0.0000 0.1921
Hg 0.0079 0.5000 0.4555
Hg 0.5079 0.0000 0.4555
As 0.2535 0.0000 0.8523
As 0.7535 0.5000 0.8523

# Cu2HgAsS4
Computed powder diffraction line list, Cu Kα (weighted mean of Kα1 and Kα2). Input: a crystal structure in Alexandria, relaxed with PBE.
Intensities are scaled so that the largest is 100.

Peak list (6 most intense, 10 to 90 degrees two-theta, by angle)
d (Å)  I/Imax
4.973  18.3
3.202  100.0
2.790  14.8
1.973  19.2
1.955  36.2
1.680  29.6

Structure:
Lattice parameters (Å, degrees): 5.5795 5.5795 10.9669 90.00 90.00 90.00
Fractional coordinates of all 16 atoms:
Cu 0.0000 0.5000 0.2500
Cu 0.0000 0.5000 0.7500
Cu 0.5000 0.0000 0.2500
Cu 0.5000 0.0000 0.7500
Hg 0.0000 0.0000 0.0000
Hg 0.5000 0.5000 0.5000
As 0.0000 0.0000 0.5000
As 0.5000 0.5000 0.0000
S 0.2356 0.2356 0.6417
S 0.2356 0.7644 0.3583
S 0.2644 0.2644 0.1417
S 0.2644 0.7356 0.8583
S 0.7356 0.2644 0.8583
S 0.7356 0.7356 0.1417
S 0.7644 0.2356 0.3583
S 0.7644 0.7644 0.6417

# Pr4CuAsI2
Computed powder diffraction line list, Cu Kα (weighted mean of Kα1 and Kα2). Input: a crystal structure in Alexandria, relaxed with PBE.
Intensities are scaled so that the largest is 100.

Peak list (6 most intense, 10 to 90 degrees two-theta, by angle)
d (Å)  I/Imax
3.156  53.6
3.139  100.0
2.272  31.3
2.182  40.3
2.115  19.3
1.757  19.4

Structure:
Lattice parameters (Å, degrees): 7.6432 4.2303 8.0973 90.00 106.91 90.00
Fractional coordinates of all 8 atoms:
Pr 0.2220 0.0000 0.1985
Pr 0.2672 0.5000 0.7976
Pr 0.7328 0.5000 0.2024
Pr 0.7780 0.0000 0.8015
Cu 0.0000 0.5000 0.0000
As 0.5000 0.0000 0.0000
I 0.0000 0.0000 0.5000
I 0.5000 0.5000 0.5000

# RbCu2AsI6
Computed powder diffraction line list, Cu Kα (weighted mean of Kα1 and Kα2). Input: a crystal structure in Alexandria, relaxed with PBE.
Intensities are scaled so that the largest is 100.

Peak list (6 most intense, 10 to 90 degrees two-theta, by angle)
d (Å)  I/Imax
7.582  36.2
3.990  16.3
3.882  16.0
3.791  34.8
3.256  100.0
2.237  24.2

Structure:
Lattice parameters (Å, degrees): 10.5266 10.5266 7.5833 94.18 94.18 87.23
Fractional coordinates of all 20 atoms:
Rb 0.0806 0.9194 0.7500
Rb 0.9194 0.0806 0.2500
Cu 0.3392 0.4824 0.7314
Cu 0.4824 0.3392 0.2314
Cu 0.5176 0.6608 0.7686
Cu 0.6608 0.5176 0.2686
As 0.2708 0.7292 0.2500
As 0.7292 0.2708 0.7500
I 0.0182 0.7397 0.3404
I 0.1721 0.6049 0.9115
I 0.2603 0.9818 0.1596
I 0.3021 0.4609 0.3922
I 0.3951 0.8279 0.5885
I 0.4609 0.3021 0.8922
I 0.5391 0.6979 0.1078
I 0.6049 0.1721 0.4115
I 0.6979 0.5391 0.6078
I 0.7397 0.0182 0.8404
I 0.8279 0.3951 0.0885
I 0.9818 0.2603 0.6596

# CuAsSeI
Computed powder diffraction line list, Cu Kα (weighted mean of Kα1 and Kα2). Input: a crystal structure in Alexandria, relaxed with PBE.
Intensities are scaled so that the largest is 100.

Peak list (6 most intense, 10 to 90 degrees two-theta, by angle)
d (Å)  I/Imax
3.883  74.3
3.510  100.0
3.149  55.8
3.025  56.0
2.421  50.3
1.826  39.5

Structure:
Lattice parameters (Å, degrees): 7.4158 4.0500 8.1861 90.00 108.43 90.00
Fractional coordinates of all 8 atoms:
Cu 0.0000 0.0000 0.0000
Cu 0.5000 0.5000 0.0000
As 0.4034 0.5000 0.4483
As 0.9034 0.0000 0.4483
Se 0.1314 0.0000 0.3052
Se 0.6314 0.5000 0.3052
I 0.2816 0.0000 0.8696
I 0.7816 0.5000 0.8696